1.
Structure and theoretical X-ray powder pattern of UTiI6 (a cell relaxed with GGA-PBE; Cu Kα X-rays).
Lines closer than 0.1° are merged.

Structure:
a b c (Å): 7.9446 13.6559 7.0727
angles (deg): 90.00 90.29 90.00
Sites, in units of the cell vectors:
U  0.0000  0.0000  0.0000
U  0.5000  0.5000  0.0000
Ti  0.0000  0.0000  0.5000
Ti  0.5000  0.5000  0.5000
I  0.1493  0.1503  0.2731
I  0.1493  0.8497  0.2731
I  0.2016  0.5000  0.2704
I  0.2984  0.0000  0.7296
I  0.3507  0.3497  0.7269
I  0.3507  0.6503  0.7269
I  0.6493  0.3497  0.2731
I  0.6493  0.6503  0.2731
I  0.7016  0.0000  0.2704
I  0.7984  0.5000  0.7296
I  0.8507  0.1503  0.7269
I  0.8507  0.8497  0.7269

Largest 10 diffraction maxima, low angle first, 10 to 90 degrees two-theta:
two_theta  d_spacing  intensity
12.92  6.854  100
18.02  4.922  17
25.67  3.471  35
25.85  3.447  92
34.01  2.636  54
36.57  2.457  14
37.04  2.427  14
39.36  2.289  27
39.60  2.276  14
47.81  1.903  16

---

2.
Structure and theoretical X-ray powder pattern of TiWI (a cell relaxed with GGA-PBE; Cu Kα X-rays).
Lines closer than 0.1° are merged.

Structure:
a b c (Å): 3.4023 4.6889 10.2126
angles (deg): 89.94 89.95 79.11
Sites, in units of the cell vectors:
Ti  0.2498  0.2496  0.1747
Ti  0.7502  0.7504  0.8253
W  0.2499  0.7500  0.0186
W  0.7501  0.2500  0.9814
I  0.2493  0.7493  0.3274
I  0.7507  0.2507  0.6726

Largest 10 diffraction maxima, low angle first, 10 to 90 degrees two-theta:
two_theta  d_spacing  intensity
21.17  4.198  30
26.18  3.404  69
28.10  3.175  59
29.93  2.986  54
36.08  2.490  33
39.13  2.302  49
40.17  2.245  100
40.35  2.235  34
45.12  2.010  61
47.69  1.907  28

---

3.
Structure and theoretical X-ray powder pattern of TiZnI (a cell relaxed with GGA-PBE; Cu Kα X-rays).
Lines closer than 0.1° are merged.

Structure:
a b c (Å): 13.8917 3.5148 6.0883
angles (deg): 90.00 90.00 90.00
Sites, in units of the cell vectors:
Ti  0.0000  0.0000  0.0000
Ti  0.0000  0.5000  0.5000
Ti  0.5000  0.0000  0.0025
Ti  0.5000  0.5000  0.5025
Zn  0.3688  0.0000  0.6692
Zn  0.3688  0.5000  0.1692
Zn  0.6312  0.0000  0.6692
Zn  0.6312  0.5000  0.1692
I  0.1358  0.0000  0.3333
I  0.1358  0.5000  0.8333
I  0.8642  0.0000  0.3333
I  0.8642  0.5000  0.8333

Largest 10 diffraction maxima, low angle first, 10 to 90 degrees two-theta:
two_theta  d_spacing  intensity
25.65  3.473  39
29.34  3.044  19
30.05  2.973  100
32.10  2.788  23
35.29  2.544  99
39.36  2.289  81
52.04  1.757  47
55.26  1.662  34
58.89  1.568  23
77.23  1.235  23

---

4.
Structure and theoretical X-ray powder pattern of TlI4 (a cell relaxed with GGA-PBE; Cu Kα X-rays).
Lines closer than 0.1° are merged.

Structure:
a b c (Å): 5.2641 9.2303 12.4825
angles (deg): 109.40 101.98 93.97
Sites, in units of the cell vectors:
Tl  0.0000  0.0000  0.0000
Tl  0.0195  0.6752  0.4738
I  0.1140  0.0373  0.4730
I  0.1385  0.6062  0.8513
I  0.3539  0.8508  0.7827
I  0.4175  0.6287  0.2848
I  0.5040  0.1824  0.6894
I  0.5080  0.3029  0.2372
I  0.5861  0.9761  0.1835
I  0.9008  0.3532  0.9212

Largest 10 diffraction maxima, low angle first, 10 to 90 degrees two-theta:
two_theta  d_spacing  intensity
15.28  5.799  57
19.28  4.603  42
20.19  4.398  50
20.33  4.368  86
24.98  3.565  31
26.15  3.407  100
29.16  3.063  44
29.46  3.032  30
31.16  2.870  30
36.52  2.461  24

---

5.
Structure and theoretical X-ray powder pattern of TmTl4I7 (a cell relaxed with GGA-PBE; Cu Kα X-rays).
Lines closer than 0.1° are merged.

Structure:
a b c (Å): 11.9554 11.9554 8.4368
angles (deg): 106.84 106.84 28.29
Sites, in units of the cell vectors:
Tm  0.0000  0.0000  0.0000
Tl  0.3123  0.3123  0.7361
Tl  0.4181  0.4181  0.3568
Tl  0.5819  0.5819  0.6432
Tl  0.6877  0.6877  0.2639
I  0.0771  0.0771  0.3556
I  0.1130  0.1130  0.8967
I  0.2755  0.2755  0.3210
I  0.5000  0.5000  0.0000
I  0.7245  0.7245  0.6790
I  0.8870  0.8870  0.1033
I  0.9229  0.9229  0.6444

Largest 10 diffraction maxima, low angle first, 10 to 90 degrees two-theta:
two_theta  d_spacing  intensity
23.34  3.812  45
24.08  3.695  30
25.25  3.528  32
26.63  3.347  100
28.18  3.166  54
29.98  2.981  37
30.60  2.922  95
30.89  2.895  35
33.38  2.684  36
45.90  1.977  35

---

6.
Structure and theoretical X-ray powder pattern of TmTl2I5 (a cell relaxed with GGA-PBE; Cu Kα X-rays).
Lines closer than 0.1° are merged.

Structure:
a b c (Å): 10.2088 10.2088 11.2117
angles (deg): 119.69 119.69 48.45
Sites, in units of the cell vectors:
Tm  0.0002  0.9998  0.0000
Tm  0.9998  0.0002  0.5000
Tl  0.3185  0.3780  0.5023
Tl  0.3780  0.3185  0.0023
Tl  0.6220  0.6813  0.9963
Tl  0.6813  0.6220  0.4963
I  0.0874  0.2787  0.6311
I  0.1547  0.8454  0.2499
I  0.2568  0.6280  0.8562
I  0.2787  0.0874  0.1311
I  0.3720  0.7433  0.6430
I  0.6280  0.2568  0.3562
I  0.7217  0.9122  0.8683
I  0.7433  0.3720  0.1430
I  0.8454  0.1547  0.7499
I  0.9122  0.7217  0.3683

Largest 10 diffraction maxima, low angle first, 10 to 90 degrees two-theta:
two_theta  d_spacing  intensity
20.09  4.421  77
20.23  4.389  54
23.24  3.827  61
26.16  3.406  53
26.89  3.316  78
28.52  3.129  72
28.77  3.103  53
33.59  2.668  52
33.90  2.644  100
36.60  2.455  65

---

7.
Structure and theoretical X-ray powder pattern of UTl2I7 (a cell relaxed with GGA-PBE; Cu Kα X-rays).
Lines closer than 0.1° are merged.

Structure:
a b c (Å): 10.7917 10.7917 14.4675
angles (deg): 123.48 123.48 51.46
Sites, in units of the cell vectors:
U  0.1919  0.8081  0.7500
U  0.8081  0.1919  0.2500
Tl  0.1700  0.6406  0.9646
Tl  0.3594  0.8300  0.5354
Tl  0.6406  0.1700  0.4646
Tl  0.8300  0.3594  0.0354
I  0.0411  0.3131  0.3203
I  0.0569  0.7693  0.4951
I  0.1295  0.8705  0.2500
I  0.2307  0.9431  0.0049
I  0.3131  0.0411  0.8203
I  0.4251  0.4757  0.8224
I  0.4757  0.4251  0.3224
I  0.5243  0.5749  0.6776
I  0.5749  0.5243  0.1776
I  0.6869  0.9589  0.1797
I  0.7693  0.0569  0.9951
I  0.8705  0.1295  0.7500
I  0.9431  0.2307  0.5049
I  0.9589  0.6869  0.6797

Largest 10 diffraction maxima, low angle first, 10 to 90 degrees two-theta:
two_theta  d_spacing  intensity
11.30  7.832  30
11.51  7.686  100
15.41  5.751  27
25.78  3.455  52
28.13  3.173  28
29.18  3.060  28
32.16  2.783  26
34.13  2.627  27
34.33  2.612  25
35.22  2.548  26

---

8.
Structure and theoretical X-ray powder pattern of TlWI6 (a cell relaxed with GGA-PBE; Cu Kα X-rays).
Lines closer than 0.1° are merged.

Structure:
a b c (Å): 7.3773 7.3773 12.3494
angles (deg): 93.81 93.81 82.59
Sites, in units of the cell vectors:
Tl  0.0237  0.9763  0.7500
Tl  0.9763  0.0237  0.2500
W  0.0000  0.5000  0.5000
W  0.5000  0.0000  0.0000
I  0.0941  0.5331  0.2912
I  0.1601  0.2006  0.9996
I  0.2006  0.1601  0.4996
I  0.3025  0.6505  0.5802
I  0.3495  0.6975  0.9198
I  0.4669  0.9059  0.2088
I  0.5331  0.0941  0.7912
I  0.6505  0.3025  0.0802
I  0.6975  0.3495  0.4198
I  0.7994  0.8399  0.5004
I  0.8399  0.7994  0.0004
I  0.9059  0.4669  0.7088

Largest 10 diffraction maxima, low angle first, 10 to 90 degrees two-theta:
two_theta  d_spacing  intensity
12.12  7.303  36
13.73  6.448  79
14.45  6.130  44
27.47  3.247  42
27.67  3.224  36
28.66  3.115  100
29.04  3.075  36
29.77  3.001  35
30.82  2.901  72
41.41  2.180  37

---

9.
Structure and theoretical X-ray powder pattern of YTl2I5 (a cell relaxed with GGA-PBE; Cu Kα X-rays).
Lines closer than 0.1° are merged.

Structure:
a b c (Å): 14.1479 9.6713 9.3596
angles (deg): 90.00 90.00 90.00
Sites, in units of the cell vectors:
Y  0.0063  0.2500  0.0782
Y  0.4937  0.7500  0.5782
Y  0.5063  0.2500  0.4218
Y  0.9937  0.7500  0.9218
Tl  0.1701  0.0066  0.5906
Tl  0.1701  0.4934  0.5906
Tl  0.3299  0.5066  0.0906
Tl  0.3299  0.9934  0.0906
Tl  0.6701  0.0066  0.9094
Tl  0.6701  0.4934  0.9094
Tl  0.8299  0.5066  0.4094
Tl  0.8299  0.9934  0.4094
I  0.0058  0.2500  0.4216
I  0.0634  0.5485  0.1727
I  0.0634  0.9515  0.1727
I  0.1936  0.2500  0.9073
I  0.2057  0.7500  0.8570
I  0.2943  0.2500  0.3570
I  0.3064  0.7500  0.4073
I  0.4366  0.0485  0.6727
I  0.4366  0.4515  0.6727
I  0.4942  0.7500  0.9216
I  0.5058  0.2500  0.0784
I  0.5634  0.5485  0.3273
I  0.5634  0.9515  0.3273
I  0.6936  0.2500  0.5927
I  0.7057  0.7500  0.6430
I  0.7943  0.2500  0.1430
I  0.8064  0.7500  0.0927
I  0.9366  0.0485  0.8273
I  0.9366  0.4515  0.8273
I  0.9942  0.7500  0.5784

Largest 10 diffraction maxima, low angle first, 10 to 90 degrees two-theta:
two_theta  d_spacing  intensity
26.95  3.309  48
27.26  3.272  100
28.10  3.176  75
29.31  3.048  19
31.33  2.855  39
32.74  2.735  20
37.19  2.418  27
38.11  2.362  24
38.47  2.340  26
52.85  1.732  19

---

10.
Structure and theoretical X-ray powder pattern of Zr4TlI7 (a cell relaxed with GGA-PBE; Cu Kα X-rays).
Lines closer than 0.1° are merged.

Structure:
a b c (Å): 5.5977 18.2763 8.2080
angles (deg): 90.00 97.14 90.00
Sites, in units of the cell vectors:
Zr  0.0000  0.1490  0.0000
Zr  0.0000  0.8510  0.0000
Zr  0.1194  0.2464  0.7083
Zr  0.1194  0.7536  0.7083
Zr  0.4737  0.2536  0.0226
Zr  0.4737  0.7464  0.0226
Zr  0.5931  0.3511  0.7308
Zr  0.5931  0.6489  0.7308
Tl  0.2092  0.5000  0.2166
Tl  0.3805  0.0000  0.5150
I  0.0533  0.1571  0.3991
I  0.0533  0.8429  0.3991
I  0.0869  0.4007  0.6199
I  0.0869  0.5993  0.6199
I  0.5061  0.0993  0.1109
I  0.5061  0.9007  0.1109
I  0.5398  0.3434  0.3314
I  0.5398  0.6566  0.3314
I  0.6175  0.1900  0.7163
I  0.6175  0.8100  0.7163
I  0.6198  0.5000  0.9107
I  0.9726  0.0000  0.8201
I  0.9758  0.3101  0.0145
I  0.9758  0.6899  0.0145

Largest 10 diffraction maxima, low angle first, 10 to 90 degrees two-theta:
two_theta  d_spacing  intensity
25.18  3.536  93
25.93  3.436  100
26.73  3.335  99
32.23  2.777  73
34.46  2.602  60
34.72  2.584  75
34.94  2.568  37
36.84  2.440  43
38.07  2.364  34
49.54  1.840  27

---

11.
Structure and theoretical X-ray powder pattern of UI5 (a cell relaxed with GGA-PBE; Cu Kα X-rays).
Lines closer than 0.1° are merged.

Structure:
a b c (Å): 10.3531 10.3531 6.0912
angles (deg): 90.00 90.00 90.00
Sites, in units of the cell vectors:
U  0.0000  0.0000  0.0000
U  0.5000  0.5000  0.5000
I  0.0000  0.0000  0.5000
I  0.0662  0.2703  0.0000
I  0.2297  0.5662  0.5000
I  0.2703  0.9338  0.0000
I  0.4338  0.2297  0.5000
I  0.5000  0.5000  0.0000
I  0.5662  0.7703  0.5000
I  0.7297  0.0662  0.0000
I  0.7703  0.4338  0.5000
I  0.9338  0.7297  0.0000

Largest 10 diffraction maxima, low angle first, 10 to 90 degrees two-theta:
two_theta  d_spacing  intensity
12.09  7.321  94
16.89  5.250  94
17.13  5.177  39
24.14  3.686  61
27.24  3.274  100
29.32  3.046  52
38.79  2.321  35
38.90  2.315  39
40.45  2.230  69
49.45  1.843  40

---

12.
Structure and theoretical X-ray powder pattern of VWI (a cell relaxed with GGA-PBE; Cu Kα X-rays).
Lines closer than 0.1° are merged.

Structure:
a b c (Å): 8.0846 12.7710 3.2555
angles (deg): 90.00 90.00 90.00
Sites, in units of the cell vectors:
V  0.1246  0.0103  0.0000
V  0.3754  0.0103  0.5000
V  0.6246  0.9897  0.0000
V  0.8754  0.9897  0.5000
W  0.1283  0.8476  0.5955
W  0.3717  0.8476  0.0955
W  0.6283  0.1524  0.5955
W  0.8717  0.1524  0.0955
I  0.0196  0.3394  0.2274
I  0.4804  0.3394  0.7274
I  0.5196  0.6606  0.2274
I  0.9804  0.6606  0.7274

Largest 10 diffraction maxima, low angle first, 10 to 90 degrees two-theta:
two_theta  d_spacing  intensity
12.96  6.831  68
17.70  5.011  72
27.95  3.193  20
30.43  2.937  100
36.15  2.484  26
41.45  2.178  53
42.47  2.128  23
45.69  1.986  21
45.97  1.974  33
46.57  1.950  32